Computed PXRD pattern of Ba2Ca2Tl2Ni3O10 for copper Kα, from DFT lattice parameters and positions (PBE+U).
Peak positions follow from Bragg's law for the DFT cell and can differ from measured ones.

abc: 3.8586 4.0076 18.4472
angles: 83.78 84.02 90.00
Fractional coordinates of all 19 atoms:
Ba (0.0000, 0.0000, 0.0000)
Ba (0.2872, 0.2858, 0.4309)
Ca (0.0986, 0.0975, 0.8054)
Ca (0.1905, 0.1886, 0.6255)
Tl (0.4245, 0.3757, 0.1522)
Tl (0.8620, 0.8127, 0.2787)
Ni (0.5542, 0.5546, 0.8917)
Ni (0.6450, 0.6427, 0.7154)
Ni (0.7339, 0.7320, 0.5391)
O (0.0574, 0.5575, 0.8852)
O (0.1450, 0.6427, 0.7154)
O (0.2306, 0.7287, 0.5455)
O (0.3681, 0.4763, 0.2665)
O (0.4814, 0.4915, 0.0369)
O (0.5553, 0.0554, 0.8900)
O (0.6448, 0.1426, 0.7156)
O (0.7327, 0.2311, 0.5411)
O (0.8052, 0.8143, 0.3940)
O (0.9185, 0.0270, 0.1644)

Most intense lines, 10° ≤ 2θ ≤ 90°, most intense first:
d [Å], I (rel.), hkl
2.780, 100, 1 1 1
3.177, 66, 0 1 4
3.101, 60, 1 0 4
2.850, 41, 0 1 -4
2.795, 39, 1 0 -4
1.901, 32, 1 1 8
2.605, 28, 0 0 7
2.748, 27, 1 1 0
1.929, 26, 2 0 1
2.004, 25, 0 2 1